Record 1
Structure and simulated powder diffractogram of Ba5Ga2Hg2 (DFT lattice parameters and positions (GGA-PBE); Cu Kα (weighted mean of Kα1 and Kα2)).

Structure:
Lattice parameters (Å, degrees): 10.344 10.344 9.059 90.00 90.00 48.08
Atoms (fractional coordinates):
1 Ba 0.000 0.000 0.000
2 Ba 0.036 0.688 0.680
3 Ba 0.188 0.536 0.180
4 Ba 0.312 0.964 0.680
5 Ba 0.464 0.812 0.180
6 Ba 0.500 0.500 0.500
7 Ba 0.536 0.188 0.820
8 Ba 0.688 0.036 0.320
9 Ba 0.812 0.464 0.820
10 Ba 0.964 0.312 0.320
11 Ga 0.095 0.905 0.393
12 Ga 0.405 0.595 0.893
13 Ga 0.595 0.405 0.107
14 Ga 0.905 0.095 0.607
15 Hg 0.211 0.211 0.000
16 Hg 0.289 0.289 0.500
17 Hg 0.711 0.711 0.500
18 Hg 0.789 0.789 0.000

Most intense lines, 5° ≤ 2θ ≤ 70°, by angle:
| Position (°2θ) | Rel. int. |
| --- | --- |
| 26.4 | 60 |
| 27.3 | 91 |
| 27.7 | 72 |
| 28.4 | 100 |
| 28.9 | 86 |
| 30.1 | 59 |
| 31.8 | 47 |
| 33.7 | 33 |
| 36.4 | 53 |
| 50.5 | 32 |

***

Record 2
Structure and simulated powder diffractogram of RbBa2GaO4 (DFT lattice parameters and positions (GGA-PBE); Cu Kα (weighted mean of Kα1 and Kα2)).

Structure:
Lattice parameters (Å, degrees): 7.132 7.132 13.086 90.00 90.00 149.96
Atoms (fractional coordinates):
1 Rb 0.090 0.910 0.750
2 Rb 0.910 0.090 0.250
3 Ba 0.370 0.630 0.537
4 Ba 0.370 0.630 0.963
5 Ba 0.630 0.370 0.037
6 Ba 0.630 0.370 0.463
7 Ga 0.194 0.806 0.250
8 Ga 0.806 0.194 0.750
9 O 0.000 0.000 0.000
10 O 0.000 0.000 0.500
11 O 0.260 0.740 0.128
12 O 0.260 0.740 0.372
13 O 0.378 0.622 0.750
14 O 0.622 0.378 0.250
15 O 0.740 0.260 0.628
16 O 0.740 0.260 0.872

Most intense lines, 5° ≤ 2θ ≤ 70°, by angle:
| Position (°2θ) | Rel. int. |
| --- | --- |
| 24.1 | 45 |
| 25.9 | 44 |
| 27.3 | 54 |
| 28.5 | 100 |
| 31.8 | 55 |
| 34.0 | 81 |
| 36.7 | 25 |
| 37.9 | 24 |
| 46.9 | 33 |
| 49.3 | 24 |

***

Record 3
Structure and simulated powder diffractogram of Y3CdPd6 (DFT lattice parameters and positions (GGA-PBE); Cu Kα (weighted mean of Kα1 and Kα2)).

Structure:
Lattice parameters (Å, degrees): 8.114 4.916 10.430 90.00 111.91 90.00
Atoms (fractional coordinates):
1 Y 0.050 0.250 0.214
2 Y 0.307 0.250 0.014
3 Y 0.349 0.750 0.380
4 Y 0.651 0.250 0.620
5 Y 0.693 0.750 0.986
6 Y 0.950 0.750 0.786
7 Cd 0.124 0.750 0.568
8 Cd 0.876 0.250 0.432
9 Pd 0.103 0.250 0.717
10 Pd 0.115 0.750 0.082
11 Pd 0.275 0.250 0.521
12 Pd 0.315 0.750 0.858
13 Pd 0.489 0.250 0.321
14 Pd 0.492 0.250 0.827
15 Pd 0.508 0.750 0.173
16 Pd 0.511 0.750 0.679
17 Pd 0.685 0.250 0.142
18 Pd 0.725 0.750 0.479
19 Pd 0.885 0.250 0.918
20 Pd 0.897 0.750 0.283

Most intense lines, 5° ≤ 2θ ≤ 70°, by angle:
| Position (°2θ) | Rel. int. |
| --- | --- |
| 34.4 | 11 |
| 35.3 | 44 |
| 36.6 | 71 |
| 38.3 | 100 |
| 39.2 | 95 |
| 39.9 | 43 |
| 51.7 | 29 |
| 60.0 | 13 |
| 67.0 | 19 |
| 67.5 | 18 |

***

Record 4
Structure and simulated powder diffractogram of NaBi3Te4 (DFT lattice parameters and positions (GGA-PBE); Cu Kα (weighted mean of Kα1 and Kα2)).

Structure:
Lattice parameters (Å, degrees): 6.456 12.844 6.510 90.00 90.00 90.00
Atoms (fractional coordinates):
1 Na 0.250 0.250 0.234
2 Na 0.750 0.750 0.766
3 Bi 0.250 0.000 0.758
4 Bi 0.250 0.500 0.758
5 Bi 0.250 0.750 0.267
6 Bi 0.750 0.000 0.242
7 Bi 0.750 0.250 0.733
8 Bi 0.750 0.500 0.242
9 Te 0.250 0.250 0.736
10 Te 0.250 0.506 0.273
11 Te 0.250 0.750 0.782
12 Te 0.250 0.994 0.273
13 Te 0.750 0.006 0.727
14 Te 0.750 0.250 0.218
15 Te 0.750 0.494 0.727
16 Te 0.750 0.750 0.264

Most intense lines, 5° ≤ 2θ ≤ 70°, by angle:
| Position (°2θ) | Rel. int. |
| --- | --- |
| 15.3 | 22 |
| 15.4 | 22 |
| 27.4 | 97 |
| 27.6 | 100 |
| 27.8 | 98 |
| 39.3 | 75 |
| 39.4 | 74 |
| 39.6 | 77 |
| 48.8 | 81 |
| 64.1 | 31 |